Record 1
Calculated X-ray powder pattern of Ag2TeSeS for Cu Kα, from a GGA-PBE-relaxed structure.

Structural model:
a b c (Å): 5.313 5.313 5.151
angles (deg): 90.00 90.00 90.00
Fractional positions:
Ag1 0.000 0.500 0.000
Ag2 0.500 0.000 0.000
Te1 0.000 0.000 0.000
Se1 0.500 0.500 0.500
S1 0.000 0.000 0.500

Most intense lines, 2θ from 15° to 90°, in order of falling intensity:
33.74°, I 100
17.22°, I 67
49.28°, I 66
24.07°, I 64
29.43°, I 63
34.84°, I 46
38.12°, I 37
48.46°, I 35
61.06°, I 34
41.87°, I 30
83.45°, I 21
16.69°, I 17

---

Record 2
Calculated X-ray powder pattern of Ag2TeSeS2 for Cu Kα, from a GGA-PBE-relaxed structure.

Structural model:
a b c (Å): 7.204 7.204 6.654
angles (deg): 90.00 90.00 72.90
Fractional positions:
Ag1 0.020 0.317 0.000
Ag2 0.317 0.020 0.500
Ag3 0.683 0.980 0.000
Ag4 0.980 0.683 0.500
Te1 0.283 0.717 0.955
Te2 0.717 0.283 0.455
Se1 0.314 0.686 0.338
Se2 0.686 0.314 0.838
S1 0.037 0.314 0.387
S2 0.314 0.037 0.887
S3 0.686 0.963 0.387
S4 0.963 0.686 0.887

Most intense lines, 2θ from 15° to 90°, in order of falling intensity:
28.68°, I 100
26.80°, I 77
25.29°, I 73
39.25°, I 70
20.75°, I 65
48.51°, I 57
24.73°, I 55
48.16°, I 38
46.09°, I 29
47.04°, I 28
37.18°, I 27
34.13°, I 20

---

Record 3
Calculated X-ray powder pattern of Tm2AgSeS3 for Cu Kα, from a GGA-PBE-relaxed structure.

Structural model:
a b c (Å): 7.915 7.915 7.915
angles (deg): 60.30 60.30 60.30
Fractional positions:
Tm1 0.000 0.000 0.000
Tm2 0.000 0.000 0.500
Tm3 0.000 0.500 0.000
Tm4 0.500 0.000 0.000
Ag1 0.389 0.389 0.389
Ag2 0.611 0.611 0.611
Se1 0.251 0.251 0.251
Se2 0.749 0.749 0.749
S1 0.220 0.759 0.759
S2 0.241 0.241 0.780
S3 0.241 0.780 0.241
S4 0.759 0.220 0.759
S5 0.759 0.759 0.220
S6 0.780 0.241 0.241

Most intense lines, 2θ from 15° to 90°, in order of falling intensity:
26.32°, I 100
31.91°, I 60
45.64°, I 51
41.81°, I 47
45.86°, I 46
26.42°, I 38
22.36°, I 23
53.49°, I 16
27.50°, I 16
63.60°, I 16
84.56°, I 15
66.70°, I 15

---

Record 4
Calculated X-ray powder pattern of SiAg4S4 for Cu Kα, from a GGA-PBE-relaxed structure.

Structural model:
a b c (Å): 6.561 6.561 6.067
angles (deg): 116.99 116.99 58.08
Fractional positions:
Si1 0.000 0.000 0.000
Ag1 0.093 0.907 0.500
Ag2 0.334 0.373 0.386
Ag3 0.508 0.492 0.000
Ag4 0.627 0.666 0.614
S1 0.050 0.658 0.030
S2 0.342 0.950 0.970
S3 0.690 0.054 0.657
S4 0.946 0.310 0.343

Most intense lines, 2θ from 15° to 90°, in order of falling intensity:
27.37°, I 100
42.42°, I 75
41.10°, I 65
42.06°, I 50
29.45°, I 50
28.02°, I 42
27.14°, I 41
18.09°, I 39
16.60°, I 37
33.90°, I 34
42.22°, I 31
43.62°, I 28

---

Record 5
Calculated X-ray powder pattern of SiAg8S6 for Cu Kα, from a GGA-PBE-relaxed structure.

Structural model:
a b c (Å): 7.682 7.496 10.576
angles (deg): 90.00 90.00 90.00
Fractional positions:
Si1 0.000 0.246 0.000
Si2 0.500 0.754 0.500
Ag1 0.000 0.626 0.515
Ag2 0.000 0.711 0.961
Ag3 0.201 0.142 0.636
Ag4 0.203 0.105 0.345
Ag5 0.205 0.528 0.748
Ag6 0.295 0.472 0.248
Ag7 0.297 0.895 0.845
Ag8 0.299 0.858 0.136
Ag9 0.500 0.289 0.461
Ag10 0.500 0.374 0.015
Ag11 0.701 0.858 0.136
Ag12 0.703 0.895 0.845
Ag13 0.705 0.472 0.248
Ag14 0.795 0.528 0.748
Ag15 0.797 0.105 0.345
Ag16 0.799 0.142 0.636
S1 0.000 0.015 0.123
S2 0.000 0.286 0.484
S3 0.000 0.474 0.124
S4 0.000 0.802 0.730
S5 0.233 0.245 0.886
S6 0.267 0.755 0.386
S7 0.500 0.198 0.230
S8 0.500 0.526 0.624
S9 0.500 0.714 0.984
S10 0.500 0.985 0.623
S11 0.733 0.755 0.386
S12 0.767 0.245 0.886

Most intense lines, 2θ from 15° to 90°, in order of falling intensity:
28.73°, I 100
36.01°, I 78
43.22°, I 62
25.21°, I 51
29.21°, I 46
44.08°, I 41
42.34°, I 39
44.45°, I 38
36.62°, I 37
26.46°, I 35
31.15°, I 33
39.91°, I 32

---

Record 6
Calculated X-ray powder pattern of SiAg8S6 for Cu Kα, from a GGA-PBE-relaxed structure.

Structural model:
a b c (Å): 15.166 7.549 10.657
angles (deg): 90.00 90.00 90.00
Fractional positions:
Si1 0.124 0.236 0.000
Si2 0.376 0.736 0.500
Si3 0.624 0.264 0.000
Si4 0.876 0.764 0.500
Ag1 0.014 0.517 0.238
Ag2 0.064 0.736 0.013
Ag3 0.066 0.072 0.329
Ag4 0.087 0.116 0.660
Ag5 0.130 0.772 0.482
Ag6 0.227 0.506 0.261
Ag7 0.231 0.384 0.658
Ag8 0.239 0.127 0.448
Ag9 0.261 0.627 0.948
Ag10 0.269 0.884 0.158
Ag11 0.273 0.006 0.761
Ag12 0.370 0.272 0.982
Ag13 0.413 0.616 0.160
Ag14 0.434 0.572 0.829
Ag15 0.436 0.236 0.513
Ag16 0.486 0.017 0.738
Ag17 0.514 0.983 0.238
Ag18 0.564 0.764 0.013
Ag19 0.566 0.428 0.329
Ag20 0.587 0.384 0.660
Ag21 0.630 0.728 0.482
Ag22 0.727 0.994 0.261
Ag23 0.731 0.116 0.658
Ag24 0.739 0.373 0.448
Ag25 0.761 0.873 0.948
Ag26 0.769 0.616 0.158
Ag27 0.773 0.494 0.761
Ag28 0.870 0.228 0.982
Ag29 0.913 0.884 0.160
Ag30 0.934 0.928 0.829
Ag31 0.936 0.264 0.513
Ag32 0.986 0.483 0.738
S1 0.009 0.231 0.117
S2 0.113 0.322 0.482
S3 0.121 0.007 0.879
S4 0.122 0.769 0.245
S5 0.127 0.467 0.880
S6 0.237 0.230 0.120
S7 0.263 0.730 0.620
S8 0.373 0.967 0.380
S9 0.378 0.269 0.745
S10 0.379 0.507 0.379
S11 0.387 0.822 0.982
S12 0.491 0.731 0.617
S13 0.509 0.269 0.117
S14 0.613 0.178 0.482
S15 0.621 0.493 0.879
S16 0.622 0.731 0.245
S17 0.627 0.033 0.880
S18 0.737 0.270 0.120
S19 0.763 0.770 0.620
S20 0.873 0.533 0.380
S21 0.878 0.231 0.745
S22 0.879 0.993 0.379
S23 0.887 0.678 0.982
S24 0.991 0.769 0.617

Most intense lines, 2θ from 15° to 90°, in order of falling intensity:
28.97°, I 100
33.02°, I 52
37.69°, I 37
34.09°, I 35
48.21°, I 32
43.95°, I 31
36.68°, I 30
36.10°, I 30
28.38°, I 24
31.79°, I 22
38.50°, I 20
34.59°, I 19